Simulated powder diffractogram of La3BeCrS7 for Cu Kα, from a cell relaxed with PBE.

Crystal structure
```
data_La3BeCrS7
_chemical_formula_sum 'La6 Be2 Cr2 S14'
_symmetry_space_group_name_H-M 'P 63'
_symmetry_Int_Tables_number 173
_cell_length_a 10.1696
_cell_length_b 10.1696
_cell_length_c 5.9755
_cell_angle_alpha 90.00
_cell_angle_beta 90.00
_cell_angle_gamma 120.00
loop_
_symmetry_equiv_pos_as_xyz
'x,y,z'
'x-y,x,z+1/2'
'-y,x-y,z'
'-x,-y,z+1/2'
'-x+y,-x,z'
'y,-x+y,z+1/2'
loop_
_atom_site_label
_atom_site_fract_x
_atom_site_fract_y
_atom_site_fract_z
_atom_site_occupancy
La1 0.1367 0.7474 0.0000 1
Be1 0.3333 0.6667 0.5866 1
Cr1 0.0000 0.0000 0.2303 1
S1 0.0746 0.8588 0.4804 1
S2 0.1127 0.5187 0.7159 1
S3 0.3333 0.6667 0.2351 1
```

Most intense lines, 2θ = 5–70°, most intense first:
2θ 25.12, d 3.545, intensity 100.0, hkl 2 0 1
2θ 26.78, d 3.329, intensity 86.9, hkl 2 1 0
2θ 17.94, d 4.945, intensity 78.9, hkl 1 0 1
2θ 39.87, d 2.261, intensity 78.1, hkl 1 3 1
2θ 34.03, d 2.635, intensity 71.6, hkl 3 0 1
2θ 40.57, d 2.223, intensity 70.9, hkl 2 1 2
2θ 22.97, d 3.872, intensity 66.2, hkl 1 1 1
2θ 36.34, d 2.472, intensity 42.1, hkl 2 0 2